1.
Calculated powder diffractogram of SmCo4Sn2Ge4 for λ = 1.5418 Å (Cu Kα), from DFT lattice parameters and positions (GGA-PBE).
Kinematic intensities with the Lorentz-polarization factor, no thermal factor.

Peak list (10 most intense, 2θ from 5° to 70°, sorted by position)
2theta	intensity
32.03	60.1
34.42	100.0
34.62	32.9
38.45	48.1
42.32	46.7
43.21	26.5
44.23	22.2
44.39	37.0
47.21	24.8
51.31	24.9

abc: 6.622 6.622 8.447
angles: 90.00 90.00 90.00
Space group I-42m (No. 121)
Inequivalent atoms, fractional coordinates:
Sm (0.000, 0.000, 0.000) x2
Co (0.164, 0.164, 0.406) x8
Sn (0.000, 0.500, 0.000) x4
Ge (0.178, 0.178, 0.697) x8



2.
Calculated powder diffractogram of PuTaB for λ = 1.5418 Å (Cu Kα), from DFT lattice parameters and positions (GGA-PBE).
Kinematic intensities with the Lorentz-polarization factor, no thermal factor.

Peak list (6 most intense, 2θ from 5° to 70°, sorted by position)
2theta	intensity
26.44	3.6
30.63	100.0
43.86	82.5
51.95	1.9
54.44	27.6
63.77	13.8

abc: 5.838 5.838 5.838
angles: 90.00 90.00 90.00
Space group F-43m (No. 216)
Inequivalent atoms, fractional coordinates:
Pu (0.000, 0.000, 0.000) x4
Ta (0.000, 0.000, 0.500) x4
B (0.250, 0.250, 0.250) x4



What did the first record say?
Calculated powder diffractogram of SmCo4Sn2Ge4 for λ = 1.5418 Å (Cu Kα), from DFT lattice parameters and positions (GGA-PBE).
Kinematic intensities with the Lorentz-polarization factor, no thermal factor.

Peak list (10 most intense, 2θ from 5° to 70°, sorted by position)
2theta	intensity
32.03	60.1
34.42	100.0
34.62	32.9
38.45	48.1
42.32	46.7
43.21	26.5
44.23	22.2
44.39	37.0
47.21	24.8
51.31	24.9

abc: 6.622 6.622 8.447
angles: 90.00 90.00 90.00
Space group I-42m (No. 121)
Inequivalent atoms, fractional coordinates:
Sm (0.000, 0.000, 0.000) x2
Co (0.164, 0.164, 0.406) x8
Sn (0.000, 0.500, 0.000) x4
Ge (0.178, 0.178, 0.697) x8